Theoretical powder X-ray diffraction pattern of La3PrMn4O12 for copper Kα, from DFT lattice parameters and positions (GGA+U).
Intensities are scaled so that the largest is 100.

Main lines, in order of rising 2θ (2θ = 15–90°):
d [Å], I_rel, index
3.975, 20, 0 2 0
2.811, 100, 1 2 1
2.806, 19, 2 0 0
2.295, 19, 2 2 0
1.987, 34, 0 4 0
1.778, 6, 1 4 -1
1.624, 21, 0 4 2
1.621, 27, 3 2 1
1.405, 11, 2 4 2
1.257, 11, 1 6 1

Atomic structure:
Cell lengths 5.612, 7.950, 5.630 Å; angles 90.00, 90.03, 90.00 degrees
Space group Pm (No. 6)
Inequivalent atoms, fractional coordinates:
La (0.000, 0.000, 0.000) [1 per cell]
La (0.018, 0.500, 0.065) [1 per cell]
La (0.517, 0.000, 0.501) [1 per cell]
Pr (0.498, 0.500, 0.571) [1 per cell]
Mn (0.009, 0.251, 0.532) [2 per cell]
Mn (0.510, 0.250, 0.033) [2 per cell]
O (0.092, 0.000, 0.545) [1 per cell]
O (0.234, 0.297, 0.814) [2 per cell]
O (0.289, 0.297, 0.317) [2 per cell]
O (0.425, 0.000, 0.045) [1 per cell]
O (0.593, 0.500, 0.016) [1 per cell]
O (0.732, 0.206, 0.749) [2 per cell]
O (0.788, 0.205, 0.247) [2 per cell]
O (0.922, 0.500, 0.519) [1 per cell]

Theoretical powder X-ray diffraction pattern of Li3V4CuO12 for copper Kα, from DFT lattice parameters and positions (GGA+U).
Intensities are scaled so that the largest is 100.

Main lines, in order of rising 2θ (2θ = 15–90°):
d [Å], I_rel, index
4.852, 24, 1 1 -1
4.562, 32, 0 2 0
3.762, 28, 1 1 1
3.500, 51, 0 2 1
3.205, 100, 2 2 -1
3.004, 56, 3 1 0
2.729, 41, 0 0 2
2.551, 24, 2 2 1
1.797, 22, 2 2 -3
1.433, 33, 5 3 1

Atomic structure:
Cell lengths 10.261, 9.123, 5.866 Å; angles 90.00, 111.52, 90.00 degrees
Space group C2 (No. 5)
Inequivalent atoms, fractional coordinates:
Li (0.000, 0.000, 0.000) [2 per cell]
Li (0.000, 0.148, 0.500) [2 per cell]
Li (0.000, 0.487, 0.500) [2 per cell]
V (0.205, 0.649, 0.981) [4 per cell]
V (0.205, 0.838, 0.480) [4 per cell]
Cu (0.000, 0.336, 0.000) [2 per cell]
O (0.116, 0.146, 0.909) [4 per cell]
O (0.116, 0.344, 0.401) [4 per cell]
O (0.136, 0.478, 0.922) [4 per cell]
O (0.137, 0.007, 0.424) [4 per cell]
O (0.140, 0.744, 0.189) [4 per cell]
O (0.141, 0.742, 0.690) [4 per cell]